1.
MnTl4I6: computed PXRD pattern (Cu Kα), based on the PBE geometry in Alexandria.
Neutral-atom scattering factors, no anomalous dispersion.

Main lines, most intense first (10° ≤ 2θ ≤ 90°):
2θ (°)	d/Å	I/Imax	h k l
21.13	4.204	100	3 1 -2
23.65	3.762	86	4 0 -2
24.87	3.581	74	2 2 -2
35.37	2.538	70	4 2 -4
32.10	2.789	64	1 1 5
23.27	3.823	50	0 2 2
34.84	2.575	48	6 0 -2
28.65	3.116	46	4 0 -4
18.15	4.886	46	2 0 2
20.32	4.370	45	0 2 0
28.00	3.187	45	2 0 4
33.22	2.697	41	5 1 1

Structural model:
```
data_MnTl4I6
_chemical_formula_sum 'Mn4 Tl16 I24'
_cell_length_a 15.5049
_cell_length_b 8.7484
_cell_length_c 16.1969
_cell_angle_alpha 90.00
_cell_angle_beta 103.82
_cell_angle_gamma 90.00
_symmetry_space_group_name_H-M 'C 1 c 1'
_symmetry_Int_Tables_number 9
loop_
_symmetry_equiv_pos_as_xyz
'x,y,z'
'x,-y,z+1/2'
'x+1/2,y+1/2,z'
'x+1/2,-y+1/2,z+1/2'
loop_
_atom_site_label
_atom_site_type_symbol
_atom_site_fract_x
_atom_site_fract_y
_atom_site_fract_z
_atom_site_occupancy
Mn1 Mn 0.0000 0.2414 0.0000 1
Tl1 Tl 0.0609 0.1112 0.7676 1
Tl2 Tl 0.2040 0.3747 0.2002 1
Tl3 Tl 0.2663 0.1774 0.5204 1
Tl4 Tl 0.4065 0.2007 0.9069 1
I1 I 0.0947 0.2523 0.3457 1
I2 I 0.1693 0.1984 0.9897 1
I3 I 0.2461 0.2498 0.7204 1
I4 I 0.3947 0.1904 0.3454 1
I5 I 0.4275 0.4980 0.5625 1
I6 I 0.4897 0.0107 0.5965 1
```



2.
KInBr3: computed PXRD pattern (Cu Kα), based on the PBE geometry in Alexandria.
Neutral-atom scattering factors, no anomalous dispersion.

Main lines, most intense first (10° ≤ 2θ ≤ 90°):
2θ (°)	d/Å	I/Imax	h k l
26.06	3.420	100	2 -1 2
38.57	2.334	56	1 1 4
28.67	3.114	54	2 0 2
11.74	7.535	50	1 0 0
35.75	2.512	47	3 0 0
31.41	2.848	47	2 1 0
45.73	1.984	46	3 -2 4
14.22	6.228	33	0 1 1
19.91	4.459	26	1 0 2
55.71	1.650	22	5 -3 2
55.92	1.644	20	1 4 0
46.45	1.955	19	1 3 2

Structural model:
```
data_KInBr3
_chemical_formula_sum 'K4 In4 Br12'
_cell_length_a 8.7010
_cell_length_b 8.7010
_cell_length_c 11.0638
_cell_angle_alpha 90.00
_cell_angle_beta 90.00
_cell_angle_gamma 120.00
_symmetry_space_group_name_H-M 'P -3'
_symmetry_Int_Tables_number 147
loop_
_symmetry_equiv_pos_as_xyz
'x,y,z'
'-x,-y,-z'
'-y,x-y,z'
'y,-x+y,-z'
'-x+y,-x,z'
'x-y,x,-z'
loop_
_atom_site_label
_atom_site_type_symbol
_atom_site_fract_x
_atom_site_fract_y
_atom_site_fract_z
_atom_site_occupancy
K1 K 0.0000 0.0000 0.2329 1
K2 K 0.3333 0.6667 0.3717 1
In1 In 0.3333 0.6667 0.7463 1
In2 In 0.3333 0.6667 0.9982 1
Br1 Br 0.0893 0.6961 0.1218 1
Br2 Br 0.1018 0.7181 0.6250 1
```